Diffraction record for Re4Xe3O10F14. The XRD peak list is calculated, not measured: it uses a crystal structure in OQMD, relaxed with PBE and λ = 1.5418 Å (Cu Kα).
Kinematic intensities with the Lorentz-polarization factor, no thermal factor.

Principal peaks in the range 10° ≤ 2θ ≤ 90°, low angle first:
19.9°, I 506; 22.9°, I 1000; 24.0°, I 347; 24.1°, I 542; 25.6°, I 823; 25.8°, I 323; 26.3°, I 455; 27.0°, I 408; 29.9°, I 381; 43.6°, I 264

Crystal structure
```
Re4Xe3O10F14
1.0
7.437 0.000 0.000
3.635 6.872 0.000
3.377 -1.648 8.938
Re Xe O F
4 3 10 14
Direct
0.025 0.490 0.257
0.428 0.821 0.208
0.572 0.179 0.792
0.975 0.510 0.743
0.000 0.000 0.000
0.352 0.825 0.631
0.648 0.175 0.369
0.096 0.309 0.117
0.152 0.987 0.267
0.229 0.374 0.322
0.277 0.741 0.833
0.484 0.703 0.039
0.516 0.297 0.961
0.723 0.259 0.167
0.771 0.626 0.678
0.848 0.013 0.733
0.904 0.691 0.883
0.134 0.258 0.609
0.141 0.626 0.126
0.190 0.553 0.599
0.249 0.345 0.816
0.396 0.630 0.321
0.427 0.926 0.401
0.473 0.001 0.864
0.527 0.999 0.136
0.573 0.074 0.599
0.604 0.370 0.679
0.751 0.655 0.184
0.810 0.447 0.401
0.859 0.374 0.874
0.866 0.742 0.391
```